No. 1
Computed powder diffractogram
Compound: CuAg4
Radiation: Cu Kα (λ = 1.5418 Å)
Structure: a crystal structure in OQMD, relaxed with PBE
Lines closer than 0.1° are merged.

Peak list (6 most intense, 10° ≤ 2θ ≤ 90°, sorted by position)
2θ 38.34, rel. 100
2θ 44.17, rel. 17
2θ 44.76, rel. 31
2θ 64.70, rel. 19
2θ 77.35, rel. 12
2θ 78.21, rel. 21

Cell lengths 10.333, 10.333, 4.047 Å; angles 90.00, 90.00, 157.11 degrees
Fractional coordinates of all 10 atoms:
Cu: 0.204 0.796 0.000
Cu: 0.796 0.204 0.000
Ag: 0.000 0.000 0.000
Ag: 0.106 0.894 0.500
Ag: 0.296 0.704 0.500
Ag: 0.395 0.605 0.000
Ag: 0.500 0.500 0.500
Ag: 0.605 0.395 0.000
Ag: 0.704 0.296 0.500
Ag: 0.894 0.106 0.500

***

No. 2
Computed powder diffractogram
Compound: Zr3Bi4Pt4
Radiation: Cu Kα (λ = 1.5418 Å)
Structure: a crystal structure in OQMD, relaxed with PBE
Lines closer than 0.1° are merged.

Peak list (6 most intense, 10° ≤ 2θ ≤ 90°, sorted by position)
2θ 23.69, rel. 98
2θ 38.87, rel. 55
2θ 39.33, rel. 100
2θ 46.03, rel. 32
2θ 56.14, rel. 18
2θ 70.69, rel. 33

Cell lengths 7.909, 7.909, 7.909 Å; angles 131.05, 131.05, 71.74 degrees
Fractional coordinates of all 11 atoms:
Zr: 0.000 0.000 0.000
Zr: 0.250 0.750 0.500
Zr: 0.750 0.250 0.500
Bi: 0.000 0.500 0.500
Bi: 0.274 0.274 0.000
Bi: 0.500 0.000 0.500
Bi: 0.726 0.726 0.000
Pt: 0.098 0.639 0.000
Pt: 0.361 0.361 0.459
Pt: 0.639 0.098 0.000
Pt: 0.902 0.902 0.541

***

No. 3
Computed powder diffractogram
Compound: MgCdNO
Radiation: Cu Kα (λ = 1.5418 Å)
Structure: a crystal structure in OQMD, relaxed with PBE
Lines closer than 0.1° are merged.

Peak list (6 most intense, 10° ≤ 2θ ≤ 90°, sorted by position)
2θ 11.75, rel. 88
2θ 26.72, rel. 64
2θ 27.65, rel. 48
2θ 28.50, rel. 45
2θ 33.87, rel. 100
2θ 38.94, rel. 49

Cell lengths 7.529, 6.265, 4.626 Å; angles 90.00, 90.00, 90.00 degrees
Fractional coordinates of all 16 atoms:
Mg: 0.124 0.075 0.250
Mg: 0.124 0.425 0.750
Mg: 0.876 0.575 0.250
Mg: 0.876 0.925 0.750
Cd: 0.361 0.569 0.250
Cd: 0.361 0.931 0.750
Cd: 0.639 0.069 0.250
Cd: 0.639 0.431 0.750
N: 0.103 0.101 0.750
N: 0.103 0.399 0.250
N: 0.897 0.601 0.750
N: 0.897 0.899 0.250
O: 0.361 0.565 0.750
O: 0.361 0.935 0.250
O: 0.639 0.065 0.750
O: 0.639 0.435 0.250

***

No. 4
Computed powder diffractogram
Compound: KNaNbOF5
Radiation: Cu Kα (λ = 1.5418 Å)
Structure: a crystal structure in OQMD, relaxed with PBE
Lines closer than 0.1° are merged.

Peak list (6 most intense, 10° ≤ 2θ ≤ 90°, sorted by position)
2θ 19.40, rel. 100
2θ 21.72, rel. 33
2θ 27.12, rel. 57
2θ 27.94, rel. 52
2θ 28.15, rel. 55
2θ 44.28, rel. 25

Cell lengths 6.387, 6.387, 8.182 Å; angles 90.00, 90.00, 120.48 degrees
Fractional coordinates of all 18 atoms:
K: 0.000 0.000 0.000
K: 0.000 0.000 0.500
Na: 0.318 0.682 0.750
Na: 0.682 0.318 0.250
Nb: 0.313 0.687 0.250
Nb: 0.687 0.313 0.750
O: 0.150 0.850 0.250
O: 0.850 0.150 0.750
F: 0.040 0.349 0.250
F: 0.326 0.674 0.011
F: 0.326 0.674 0.489
F: 0.349 0.040 0.750
F: 0.497 0.503 0.250
F: 0.503 0.497 0.750
F: 0.651 0.960 0.250
F: 0.674 0.326 0.511
F: 0.674 0.326 0.989
F: 0.960 0.651 0.750

***

No. 5
Computed powder diffractogram
Compound: Rb2NbReN4
Radiation: Cu Kα (λ = 1.5418 Å)
Structure: a crystal structure in OQMD, relaxed with PBE
Lines closer than 0.1° are merged.

Peak list (6 most intense, 10° ≤ 2θ ≤ 90°, sorted by position)
2θ 17.94, rel. 23
2θ 29.37, rel. 100
2θ 29.78, rel. 45
2θ 42.61, rel. 16
2θ 51.83, rel. 21
2θ 52.60, rel. 39

Cell lengths 6.085, 6.085, 6.085 Å; angles 120.91, 120.91, 88.44 degrees
Fractional coordinates of all 8 atoms:
Rb: 0.000 0.000 0.000
Rb: 0.750 0.250 0.500
Nb: 0.500 0.500 0.000
Re: 0.250 0.750 0.500
N: 0.291 0.631 0.176
N: 0.369 0.546 0.660
N: 0.454 0.114 0.824
N: 0.886 0.709 0.340

***

No. 6
Computed powder diffractogram
Compound: MgCd
Radiation: Cu Kα (λ = 1.5418 Å)
Structure: a crystal structure in OQMD, relaxed with PBE
Lines closer than 0.1° are merged.

Peak list (6 most intense, 10° ≤ 2θ ≤ 90°, sorted by position)
2θ 25.96, rel. 29
2θ 33.51, rel. 23
2θ 35.34, rel. 40
2θ 37.77, rel. 47
2θ 38.03, rel. 100
2θ 65.22, rel. 19

Cell lengths 5.080, 9.237, 5.393 Å; angles 90.00, 90.00, 90.00 degrees
Fractional coordinates of all 12 atoms:
Mg: 0.000 0.084 0.000
Mg: 0.000 0.416 0.012
Mg: 0.000 0.584 0.512
Mg: 0.000 0.916 0.500
Mg: 0.500 0.090 0.346
Mg: 0.500 0.910 0.846
Cd: 0.000 0.247 0.505
Cd: 0.000 0.753 0.005
Cd: 0.500 0.241 0.849
Cd: 0.500 0.419 0.348
Cd: 0.500 0.581 0.848
Cd: 0.500 0.759 0.349

***

No. 7
Computed powder diffractogram
Compound: LaAl5NiAg
Radiation: Cu Kα (λ = 1.5418 Å)
Structure: a crystal structure in OQMD, relaxed with PBE
Lines closer than 0.1° are merged.

Peak list (6 most intense, 10° ≤ 2θ ≤ 90°, sorted by position)
2θ 24.35, rel. 43
2θ 30.91, rel. 100
2θ 34.11, rel. 51
2θ 35.02, rel. 30
2θ 44.34, rel. 39
2θ 47.15, rel. 41

Cell lengths 6.468, 6.468, 6.468 Å; angles 143.09, 111.17, 80.75 degrees
Fractional coordinates of all 8 atoms:
La: 0.000 0.000 0.000
Al: 0.160 0.338 0.822
Al: 0.439 0.639 0.800
Al: 0.484 0.984 0.500
Al: 0.516 0.338 0.178
Al: 0.839 0.639 0.200
Ni: 0.250 0.750 0.500
Ag: 0.739 0.239 0.500